Simulated PXRD pattern
Compound: HfTlWO6
Radiation: Cu Kα X-rays
Structure: DFT lattice parameters and positions (PBE+U)
No peak broadening, texture or thermal motion is included.

Top 10 peaks for 2θ = 15–90°, by intensity:
25.53 deg, I = 100, (1 0 1); 32.92 deg, I = 47, (1 1 0); 48.46 deg, I = 43, (2 -1 2); 54.46 deg, I = 25, (3 -1 1); 42.12 deg, I = 25, (2 0 1); 58.79 deg, I = 13, (3 0 0); 34.54 deg, I = 12, (0 0 2); 70.01 deg, I = 11, (3 0 2); 56.65 deg, I = 11, (1 0 3); 17.07 deg, I = 10, (0 0 1)

Cell and atoms:
a b c (Å): 5.4411 5.4411 5.1933
angles (deg): 90.00 90.00 120.00
Atoms (fractional coordinates):
Hf: 0.0000 0.0000 0.0000
Tl: 0.6667 0.3333 0.5000
W: 0.3333 0.6667 0.0000
O: 0.0549 0.3504 0.2101
O: 0.0549 0.7045 0.7899
O: 0.2955 0.3504 0.7899
O: 0.2955 0.9451 0.2101
O: 0.6496 0.7045 0.2101
O: 0.6496 0.9451 0.7899